Simulated powder X-ray diffraction pattern of K2CoP2H6O8 for Cu Kα, 1.54184 Å, from DFT lattice parameters and positions (GGA+U).

Structural model:
abc: 6.928 6.928 7.490
angles: 113.16 113.16 45.53
Sites, in units of the cell vectors:
K 0.162 0.162 0.283
K 0.838 0.838 0.717
Co 0.500 0.500 0.500
P 0.148 0.148 0.737
P 0.852 0.852 0.263
H 0.267 0.267 0.874
H 0.315 0.615 0.153
H 0.385 0.685 0.847
H 0.615 0.315 0.153
H 0.685 0.385 0.847
H 0.733 0.733 0.126
O 0.079 0.079 0.862
O 0.103 0.629 0.388
O 0.371 0.897 0.612
O 0.489 0.489 0.784
O 0.511 0.511 0.216
O 0.629 0.103 0.388
O 0.897 0.371 0.612
O 0.921 0.921 0.138

Peak list (6 most intense, 5 to 70 degrees two-theta, most intense first)
2θ (°)	Rel. int.
28.53	100
13.07	58
15.33	39
29.30	34
33.42	24
36.00	21

***

Simulated powder X-ray diffraction pattern of K2CoH2S2O10 for Cu Kα, 1.54184 Å, from DFT lattice parameters and positions (GGA+U).

Structural model:
abc: 5.267 6.633 7.361
angles: 103.91 94.80 105.38
Sites, in units of the cell vectors:
K 0.204 0.339 0.221
K 0.796 0.661 0.779
Co 0.500 0.000 0.500
H 0.377 0.994 0.790
H 0.623 0.006 0.210
S 0.147 0.265 0.721
S 0.853 0.735 0.279
O 0.097 0.774 0.415
O 0.119 0.102 0.831
O 0.229 0.488 0.843
O 0.376 0.250 0.603
O 0.496 0.069 0.280
O 0.504 0.931 0.720
O 0.624 0.750 0.397
O 0.771 0.512 0.157
O 0.881 0.898 0.169
O 0.903 0.226 0.585

Peak list (6 most intense, 5 to 70 degrees two-theta, most intense first)
2θ (°)	Rel. int.
26.03	100
16.33	96
12.55	78
25.44	52
29.24	51
34.41	42